Diffraction record for Li2CoSi2O6. The powder diffractogram is computed, not measured: it uses a cell relaxed with GGA+U and Cu Ka.
Kinematic intensities with the Lorentz-polarization factor, no thermal factor.

Top 6 peaks for 10 to 90 degrees two-theta, sorted by position:
18.3 deg, intensity 64.3
24.8 deg, intensity 37.8
26.7 deg, intensity 100.0
32.8 deg, intensity 50.9
37.7 deg, intensity 54.8
38.0 deg, intensity 34.9

Cell and atoms:
```
Li2CoSi2O6
1.0
5.4749 0.0000 0.0000
0.0000 4.7687 0.0000
-0.4792 0.0000 9.7031
Li Co Si O
4 2 4 12
direct
0.1521 0.0000 0.3346 Li
0.3384 0.4999 0.4883 Li
0.6616 0.9999 0.5117 Li
0.8479 0.5000 0.6654 Li
0.2718 0.5069 0.1478 Co
0.7282 0.0069 0.8522 Co
0.1875 0.9965 0.6611 Si
0.3685 0.4938 0.8245 Si
0.6315 0.9938 0.1755 Si
0.8125 0.4965 0.3389 Si
0.0983 0.4105 0.3233 O
0.2100 0.3462 0.6858 O
0.2303 0.4179 0.9590 O
0.3009 0.9180 0.5159 O
0.3494 0.9011 0.1874 O
0.3631 0.8404 0.7858 O
0.6369 0.3404 0.2142 O
0.6506 0.4011 0.8126 O
0.6991 0.4180 0.4841 O
0.7697 0.9179 0.0410 O
0.7900 0.8462 0.3142 O
0.9017 0.9105 0.6767 O
```

Diffraction record for LiCoSiO4. The powder diffractogram is computed, not measured: it uses a cell relaxed with GGA+U and Cu Ka.
Kinematic intensities with the Lorentz-polarization factor, no thermal factor.

Top 6 peaks for 10 to 90 degrees two-theta, sorted by position:
21.8 deg, intensity 96.5
22.0 deg, intensity 100.0
28.0 deg, intensity 18.0
32.0 deg, intensity 32.1
34.6 deg, intensity 28.4
35.4 deg, intensity 34.2

Cell and atoms:
```
LiCoSiO4
1.0
10.3639 0.0000 0.0000
0.0000 5.0777 0.0000
0.0000 0.0000 6.6374
Li Co Si O
4 4 4 16
direct
0.1607 0.1922 0.0000 Li
0.3393 0.6922 0.5000 Li
0.6607 0.3078 0.0000 Li
0.8393 0.8078 0.5000 Li
0.1598 0.1913 0.4983 Co
0.3402 0.6913 0.9983 Co
0.6598 0.3087 0.4983 Co
0.8402 0.8087 0.9983 Co
0.0931 0.6921 0.7510 Si
0.4069 0.1921 0.2510 Si
0.5931 0.8079 0.7510 Si
0.9069 0.3079 0.2510 Si
0.0617 0.2408 0.2655 O
0.1184 0.3714 0.7357 O
0.1575 0.8289 0.5497 O
0.1696 0.8041 0.9512 O
0.3304 0.3041 0.4512 O
0.3425 0.3289 0.0497 O
0.3816 0.8714 0.2357 O
0.4383 0.7408 0.7655 O
0.5617 0.2592 0.2655 O
0.6184 0.1286 0.7357 O
0.6575 0.6711 0.5497 O
0.6696 0.6959 0.9512 O
0.8304 0.1959 0.4512 O
0.8425 0.1711 0.0497 O
0.8816 0.6286 0.2357 O
0.9383 0.7592 0.7655 O
```

Diffraction record for LiCoSiO4. The powder diffractogram is computed, not measured: it uses a cell relaxed with GGA+U and Cu Ka.
Kinematic intensities with the Lorentz-polarization factor, no thermal factor.

Top 6 peaks for 10 to 90 degrees two-theta, sorted by position:
21.9 deg, intensity 99.0
26.0 deg, intensity 100.0
31.3 deg, intensity 93.5
34.6 deg, intensity 91.8
49.2 deg, intensity 41.3
66.4 deg, intensity 51.1

Cell and atoms:
```
LiCoSiO4
1.0
6.8621 3.9619 3.1491
-6.8621 3.9619 3.1491
0.0000 -7.9237 3.1491
Li Co Si O
6 6 6 24
direct
0.0413 0.2704 0.4486 Li
0.2704 0.4486 0.0413 Li
0.4486 0.0413 0.2704 Li
0.5514 0.9587 0.7296 Li
0.7296 0.5514 0.9587 Li
0.9587 0.7296 0.5514 Li
0.0705 0.8976 0.2987 Co
0.1024 0.7013 0.9295 Co
0.2987 0.0705 0.8976 Co
0.7013 0.9295 0.1024 Co
0.8976 0.2987 0.0705 Co
0.9295 0.1024 0.7013 Co
0.2324 0.6344 0.4040 Si
0.3656 0.5960 0.7676 Si
0.4040 0.2324 0.6344 Si
0.5960 0.7676 0.3656 Si
0.6344 0.4040 0.2324 Si
0.7676 0.3656 0.5960 Si
0.1204 0.7570 0.4300 O
0.1355 0.8435 0.7965 O
0.1416 0.4742 0.2000 O
0.1565 0.2035 0.8645 O
0.2000 0.1416 0.4742 O
0.2035 0.8645 0.1565 O
0.2373 0.5400 0.5515 O
0.2430 0.5700 0.8796 O
0.4300 0.1204 0.7570 O
0.4485 0.7627 0.4600 O
0.4600 0.4485 0.7627 O
0.4742 0.2001 0.1416 O
0.5258 0.8000 0.8584 O
0.5400 0.5515 0.2373 O
0.5515 0.2373 0.5400 O
0.5700 0.8796 0.2430 O
0.7570 0.4300 0.1204 O
0.7627 0.4600 0.4485 O
0.7965 0.1355 0.8435 O
0.7999 0.8584 0.5258 O
0.8435 0.7965 0.1355 O
0.8584 0.5258 0.7999 O
0.8645 0.1565 0.2035 O
0.8796 0.2430 0.5700 O
```

Diffraction record for LiCoSiO4. The powder diffractogram is computed, not measured: it uses a cell relaxed with GGA+U and Cu Ka.
Kinematic intensities with the Lorentz-polarization factor, no thermal factor.

Top 6 peaks for 10 to 90 degrees two-theta, sorted by position:
21.9 deg, intensity 100.0
27.4 deg, intensity 17.8
33.1 deg, intensity 29.9
33.6 deg, intensity 30.8
40.8 deg, intensity 11.0
59.8 deg, intensity 18.7

Cell and atoms:
```
LiCoSiO4
1.0
3.7311 -3.8045 0.0000
3.7311 3.8045 0.0000
0.0000 0.0000 6.2754
Li Co Si O
2 2 2 8
direct
0.1807 0.1807 0.0000 Li
0.8193 0.8193 0.5000 Li
0.3246 0.6754 0.2500 Co
0.6754 0.3246 0.7500 Co
0.1791 0.1791 0.5000 Si
0.8209 0.8209 0.0000 Si
0.1270 0.7936 0.0310 O
0.2064 0.8730 0.4690 O
0.2697 0.3291 0.2829 O
0.3291 0.2697 0.7171 O
0.6709 0.7303 0.2171 O
0.7303 0.6709 0.7829 O
0.7936 0.1270 0.9690 O
0.8730 0.2064 0.5310 O
```

Diffraction record for LiCoSiO4. The powder diffractogram is computed, not measured: it uses a cell relaxed with GGA+U and Cu Ka.
Kinematic intensities with the Lorentz-polarization factor, no thermal factor.

Top 6 peaks for 10 to 90 degrees two-theta, sorted by position:
18.2 deg, intensity 85.7
20.2 deg, intensity 50.4
24.0 deg, intensity 100.0
25.8 deg, intensity 62.1
35.6 deg, intensity 80.4
36.8 deg, intensity 48.6

Cell and atoms:
```
LiCoSiO4
1.0
4.9169 0.0000 0.0000
0.0000 6.8940 0.0000
0.0000 0.0000 9.7262
Li Co Si O
4 4 4 16
direct
0.1065 0.2271 0.1165 Li
0.3935 0.7729 0.6165 Li
0.6065 0.2729 0.8835 Li
0.8935 0.7271 0.3835 Li
0.0090 0.0704 0.5139 Co
0.4910 0.9296 0.0139 Co
0.5090 0.4296 0.4861 Co
0.9910 0.5704 0.9861 Co
0.0691 0.9778 0.8470 Si
0.4309 0.0222 0.3470 Si
0.5691 0.5222 0.1530 Si
0.9309 0.4778 0.6530 Si
0.1388 0.9780 0.6835 O
0.2059 0.7749 0.9146 O
0.2380 0.8674 0.4339 O
0.2478 0.4960 0.1211 O
0.2522 0.5040 0.6211 O
0.2620 0.1326 0.9339 O
0.2941 0.2251 0.4146 O
0.3612 0.0220 0.1835 O
0.6388 0.5220 0.3165 O
0.7059 0.7251 0.0854 O
0.7380 0.6326 0.5661 O
0.7478 0.0040 0.8789 O
0.7522 0.9960 0.3789 O
0.7620 0.3674 0.0661 O
0.7941 0.2749 0.5854 O
0.8612 0.4780 0.8165 O
```

Diffraction record for Li5Co4Si6O20. The powder diffractogram is computed, not measured: it uses a cell relaxed with GGA+U and Cu Ka.
Kinematic intensities with the Lorentz-polarization factor, no thermal factor.

Top 6 peaks for 10 to 90 degrees two-theta, sorted by position:
10.8 deg, intensity 91.1
18.9 deg, intensity 100.0
19.3 deg, intensity 38.6
21.7 deg, intensity 46.5
32.7 deg, intensity 71.1
33.6 deg, intensity 35.9

Cell and atoms:
```
Li5Co4Si6O20
1.0
5.3742 0.0000 0.0000
-2.6005 4.7409 0.0000
-0.9962 -0.6495 16.4247
Li Co Si O
5 4 6 20
direct
0.0000 0.0000 0.0000 Li
0.0129 0.6674 0.8895 Li
0.0529 0.1876 0.4905 Li
0.2088 0.8116 0.2281 Li
0.9348 0.9090 0.6819 Li
0.3151 0.3348 0.8546 Co
0.3980 0.1776 0.3635 Co
0.6720 0.3218 0.0186 Co
0.7520 0.5305 0.5217 Co
0.3477 0.6593 0.0451 Si
0.4040 0.8673 0.5360 Si
0.5331 0.2156 0.6910 Si
0.5387 0.4719 0.1926 Si
0.6635 0.0099 0.8487 Si
0.7336 0.8252 0.3404 Si
0.0164 0.0951 0.3793 O
0.0534 0.6608 0.0127 O
0.1193 0.5707 0.5081 O
0.2950 0.2378 0.7406 O
0.3374 0.9469 0.6257 O
0.3424 0.2232 0.2514 O
0.3484 0.6073 0.1454 O
0.3535 0.3866 0.9996 O
0.3680 0.7185 0.8546 O
0.4376 0.1424 0.4821 O
0.4563 0.8718 0.3307 O
0.6300 0.9518 0.0251 O
0.6562 0.2824 0.8970 O
0.6638 0.5509 0.3980 O
0.6843 0.3629 0.1285 O
0.7083 0.8668 0.5384 O
0.7170 0.1059 0.7517 O
0.7384 0.4911 0.6412 O
0.7978 0.7309 0.2502 O
0.9481 0.9917 0.8804 O
```

Diffraction record for LiCoSiO4. The powder diffractogram is computed, not measured: it uses a cell relaxed with GGA+U and Cu Ka.
Kinematic intensities with the Lorentz-polarization factor, no thermal factor.

Top 6 peaks for 10 to 90 degrees two-theta, sorted by position:
18.5 deg, intensity 11.1
24.5 deg, intensity 100.0
37.6 deg, intensity 9.9
46.3 deg, intensity 20.6
53.2 deg, intensity 13.8
63.5 deg, intensity 11.4

Cell and atoms:
```
LiCoSiO4
1.0
5.5314 0.0000 0.0000
-2.7657 4.7904 0.0000
0.0000 0.0000 11.1226
Li Co Si O
3 3 3 12
direct
0.0000 0.0000 0.0000 Li
0.0000 0.0000 0.3333 Li
0.0000 0.0000 0.6667 Li
0.0000 0.5000 0.6667 Co
0.5000 0.0000 0.0000 Co
0.5000 0.5000 0.3333 Co
0.0000 0.5000 0.1667 Si
0.5000 0.0000 0.5000 Si
0.5000 0.5000 0.8333 Si
0.1706 0.3956 0.2535 O
0.1706 0.7750 0.0798 O
0.2250 0.3956 0.7465 O
0.2250 0.8294 0.5869 O
0.3956 0.1706 0.4131 O
0.3956 0.2250 0.9202 O
0.6044 0.7750 0.9202 O
0.6044 0.8294 0.4131 O
0.7750 0.1706 0.5869 O
0.7750 0.6044 0.7465 O
0.8294 0.2250 0.0798 O
0.8294 0.6044 0.2535 O
```

Diffraction record for Li2CoSi3O8. The powder diffractogram is computed, not measured: it uses a cell relaxed with GGA+U and Cu Ka.
Kinematic intensities with the Lorentz-polarization factor, no thermal factor.

Top 6 peaks for 10 to 90 degrees two-theta, sorted by position:
14.1 deg, intensity 39.5
19.7 deg, intensity 70.9
20.5 deg, intensity 42.8
22.3 deg, intensity 100.0
26.6 deg, intensity 72.7
30.4 deg, intensity 21.3

Cell and atoms:
```
Li2CoSi3O8
1.0
6.5392 0.0000 0.0000
0.0000 8.6846 0.0000
-1.8026 0.0000 6.4300
Li Co Si O
4 2 6 16
direct
0.0109 0.0000 0.4830 Li
0.3656 0.5500 0.2569 Li
0.6344 0.0500 0.7431 Li
0.9891 0.5000 0.5170 Li
0.4553 0.7464 0.6105 Co
0.5447 0.2464 0.3895 Co
0.1039 0.2705 0.9730 Si
0.2420 0.9412 0.9024 Si
0.3721 0.4070 0.7233 Si
0.6279 0.9070 0.2767 Si
0.7580 0.4412 0.0976 Si
0.8961 0.7705 0.0270 Si
0.0854 0.0910 0.8902 O
0.1366 0.3754 0.7744 O
0.1367 0.8006 0.0049 O
0.2566 0.9040 0.6694 O
0.2842 0.3101 0.1813 O
0.3085 0.5410 0.5456 O
0.4711 0.2511 0.6578 O
0.4743 0.9831 0.0601 O
0.5257 0.4831 0.9399 O
0.5289 0.7511 0.3422 O
0.6915 0.0410 0.4544 O
0.7158 0.8101 0.8187 O
0.7434 0.4040 0.3306 O
0.8633 0.3006 0.9951 O
0.8634 0.8754 0.2256 O
0.9146 0.5910 0.1098 O
```

Diffraction record for LiCoSiO4. The powder diffractogram is computed, not measured: it uses a cell relaxed with GGA+U and Cu Ka.
Kinematic intensities with the Lorentz-polarization factor, no thermal factor.

Top 6 peaks for 10 to 90 degrees two-theta, sorted by position:
21.8 deg, intensity 100.0
28.0 deg, intensity 10.2
32.3 deg, intensity 27.1
34.5 deg, intensity 34.2
48.2 deg, intensity 10.3
60.4 deg, intensity 15.9

Cell and atoms:
```
LiCoSiO4
1.0
3.6501 -3.7062 0.0000
3.6501 3.7062 0.0000
0.0000 0.0000 6.5546
Li Co Si O
2 2 2 8
direct
0.1912 0.1912 0.0000 Li
0.8088 0.8088 0.5000 Li
0.1865 0.1865 0.5000 Co
0.8135 0.8135 0.0000 Co
0.3116 0.6884 0.2500 Si
0.6884 0.3116 0.7500 Si
0.1706 0.8056 0.0464 O
0.1944 0.8294 0.4536 O
0.2550 0.3760 0.2653 O
0.3760 0.2550 0.7347 O
0.6240 0.7450 0.2347 O
0.7450 0.6240 0.7653 O
0.8056 0.1706 0.9536 O
0.8294 0.1944 0.5464 O
```